Starting from DFT lattice parameters and positions (PBE+U), the powder XRD pattern of LiV3O5F3 was simulated for Cu Kα (weighted mean of Kα1 and Kα2).

```
data_LiV3O5F3
_chemical_formula_sum 'Li4 V12 O20 F12'
_space_group_name_H-M_alt 'C 1 c 1'
_space_group_IT_number 9
_space_group_name_Hall 'C -2yc'
_cell_length_a 9.098
_cell_length_b 11.060
_cell_length_c 5.112
_cell_angle_alpha 90.00
_cell_angle_beta 91.62
_cell_angle_gamma 90.00
loop_
_atom_site_label
_atom_site_fract_x
_atom_site_fract_y
_atom_site_fract_z
Li1 0.000 0.166 0.000
V1 0.012 0.320 0.524
V2 0.244 0.419 0.030
V3 0.257 0.079 0.451
O1 0.110 0.317 0.819
O2 0.128 0.189 0.358
O3 0.139 0.439 0.344
O4 0.363 0.058 0.139
O5 0.372 0.308 0.121
F1 0.139 0.056 0.796
F2 0.363 0.446 0.687
F3 0.392 0.187 0.658
```

Top 10 peaks for 10° ≤ 2θ ≤ 90°, by angle:
| Position (°2θ) | Rel. int. |
| --- | --- |
| 21.73 | 36.7 |
| 25.36 | 100.0 |
| 30.57 | 79.3 |
| 31.21 | 80.5 |
| 39.99 | 28.3 |
| 42.38 | 51.2 |
| 53.65 | 30.2 |
| 54.91 | 35.1 |
| 55.72 | 41.4 |
| 64.23 | 28.1 |